For Ti4Pd2Pt, DFT lattice parameters and positions (GGA-PBE) gives the calculated powder X-ray diffraction pattern in this record (Cu Kα X-rays).

Main lines, by angle (2θ from 5° to 70°):
| 2θ/deg | intensity | h k l |
| --- | --- | --- |
| 16.0 | 13 | 1 0 1 |
| 27.9 | 100 | 2 1 1 |
| 36.2 | 54 | 1 0 3 |
| 36.4 | 84 | 3 0 1 |
| 43.3 | 63 | 3 1 2 |
| 43.3 | 27 | 3 2 1 |
| 52.2 | 16 | 2 0 4 |
| 52.4 | 28 | 4 2 0 |
| 55.1 | 29 | 3 3 2 |
| 60.3 | 20 | 4 1 3 |

Atomic structure:
abc: 7.8130 7.8130 7.8475
angles: 90.00 90.00 90.00
Space group I-42d (No. 122)
One atom of each set of equivalent atoms:
Ti 0.0694 0.6824 0.4500 (multiplicity 16)
Pd 0.1149 0.7500 0.1250 (multiplicity 8)
Pt 0.0000 0.0000 0.5000 (multiplicity 4)